(1)
This entry pairs a crystal structure of Ca2Mg3Tl4 with its theoretical powder diffraction line list. Radiation: Cu Kα (weighted mean of Kα1 and Kα2). Structure: a cell relaxed with PBE.
Peak positions follow from Bragg's law for the DFT cell and can differ from measured ones.

Principal peaks in the range 2θ = 10–90°, in order of rising 2θ:
22.83 deg, rel. 100
23.30 deg, rel. 45
30.65 deg, rel. 36
30.70 deg, rel. 32
34.29 deg, rel. 73
60.77 deg, rel. 32

Atomic structure:
```
data_Ca2Mg3Tl4
_space_group_name_H-M_alt 'P 1'
_space_group_IT_number 1
_space_group_name_Hall 'P 1'
_cell_length_a 9.3754
_cell_length_b 9.3754
_cell_length_c 8.4810
_cell_angle_alpha 90.00
_cell_angle_beta 90.00
_cell_angle_gamma 138.50
loop_
_atom_site_label
_atom_site_type_symbol
_atom_site_fract_x
_atom_site_fract_y
_atom_site_fract_z
_atom_site_occupancy
Ca1 Ca 0.1049 0.8951 0.9048 1
Ca2 Ca 0.3951 0.6049 0.4048 1
Ca3 Ca 0.6049 0.3951 0.5952 1
Ca4 Ca 0.8951 0.1049 0.0952 1
Mg1 Mg 0.0000 0.0000 0.5000 1
Mg2 Mg 0.0206 0.4794 0.7500 1
Mg3 Mg 0.4794 0.0206 0.2500 1
Mg4 Mg 0.5000 0.5000 0.0000 1
Mg5 Mg 0.5206 0.9794 0.7500 1
Mg6 Mg 0.9794 0.5206 0.2500 1
Tl1 Tl 0.1736 0.8264 0.5258 1
Tl2 Tl 0.1919 0.3081 0.7500 1
Tl3 Tl 0.3081 0.1919 0.2500 1
Tl4 Tl 0.3264 0.6736 0.0258 1
Tl5 Tl 0.6736 0.3264 0.9742 1
Tl6 Tl 0.6919 0.8081 0.7500 1
Tl7 Tl 0.8081 0.6919 0.2500 1
Tl8 Tl 0.8264 0.1736 0.4742 1
```



(2)
This entry pairs a crystal structure of CaMg2Tl4 with its theoretical powder diffraction line list. Radiation: Cu Kα (weighted mean of Kα1 and Kα2). Structure: a cell relaxed with PBE.
Peak positions follow from Bragg's law for the DFT cell and can differ from measured ones.

Principal peaks in the range 2θ = 10–90°, in order of rising 2θ:
24.03 deg, rel. 38
24.17 deg, rel. 75
34.35 deg, rel. 100
34.45 deg, rel. 50
42.44 deg, rel. 35
61.65 deg, rel. 37

Atomic structure:
```
data_CaMg2Tl4
_space_group_name_H-M_alt 'P 1'
_space_group_IT_number 1
_space_group_name_Hall 'P 1'
_cell_length_a 6.3892
_cell_length_b 6.3892
_cell_length_c 6.3892
_cell_angle_alpha 109.63
_cell_angle_beta 109.63
_cell_angle_gamma 109.15
loop_
_atom_site_label
_atom_site_type_symbol
_atom_site_fract_x
_atom_site_fract_y
_atom_site_fract_z
_atom_site_occupancy
Ca1 Ca 0.0000 0.0000 0.0000 1
Mg1 Mg 0.0000 0.5000 0.5000 1
Mg2 Mg 0.5000 0.0000 0.5000 1
Tl1 Tl 0.0000 0.0000 0.5000 1
Tl2 Tl 0.0000 0.5000 0.0000 1
Tl3 Tl 0.5000 0.0000 0.0000 1
Tl4 Tl 0.5000 0.5000 0.5000 1
```



(3)
This entry pairs a crystal structure of CaMg4Tl2 with its theoretical powder diffraction line list. Radiation: Cu Kα (weighted mean of Kα1 and Kα2). Structure: a cell relaxed with PBE.
Peak positions follow from Bragg's law for the DFT cell and can differ from measured ones.

Principal peaks in the range 2θ = 10–90°, in order of rising 2θ:
20.37 deg, rel. 63
22.80 deg, rel. 27
23.60 deg, rel. 100
28.96 deg, rel. 34
37.71 deg, rel. 88
42.75 deg, rel. 25

Atomic structure:
```
data_CaMg4Tl2
_space_group_name_H-M_alt 'P 1'
_space_group_IT_number 1
_space_group_name_Hall 'P 1'
_cell_length_a 8.7209
_cell_length_b 8.7209
_cell_length_c 4.7631
_cell_angle_alpha 90.00
_cell_angle_beta 90.00
_cell_angle_gamma 90.00
loop_
_atom_site_label
_atom_site_type_symbol
_atom_site_fract_x
_atom_site_fract_y
_atom_site_fract_z
_atom_site_occupancy
Ca1 Ca 0.0000 0.0000 0.0000 1
Ca2 Ca 0.5000 0.5000 0.5000 1
Mg1 Mg 0.0973 0.3496 0.5000 1
Mg2 Mg 0.1504 0.5973 0.0000 1
Mg3 Mg 0.3496 0.0973 0.5000 1
Mg4 Mg 0.4027 0.8496 0.0000 1
Mg5 Mg 0.5973 0.1504 0.0000 1
Mg6 Mg 0.6504 0.9027 0.5000 1
Mg7 Mg 0.8496 0.4027 0.0000 1
Mg8 Mg 0.9027 0.6504 0.5000 1
Tl1 Tl 0.2129 0.7871 0.5000 1
Tl2 Tl 0.2871 0.2871 0.0000 1
Tl3 Tl 0.7129 0.7129 0.0000 1
Tl4 Tl 0.7871 0.2129 0.5000 1
```



(4)
This entry pairs a crystal structure of Ca5MgTl4 with its theoretical powder diffraction line list. Radiation: Cu Kα (weighted mean of Kα1 and Kα2). Structure: a cell relaxed with PBE.
Peak positions follow from Bragg's law for the DFT cell and can differ from measured ones.

Principal peaks in the range 2θ = 10–90°, in order of rising 2θ:
22.79 deg, rel. 41
32.46 deg, rel. 100
40.03 deg, rel. 13
52.40 deg, rel. 13
57.86 deg, rel. 25
57.97 deg, rel. 13

Atomic structure:
```
data_Ca5MgTl4
_space_group_name_H-M_alt 'P 1'
_space_group_IT_number 1
_space_group_name_Hall 'P 1'
_cell_length_a 3.9058
_cell_length_b 3.9058
_cell_length_c 19.4606
_cell_angle_alpha 90.00
_cell_angle_beta 90.00
_cell_angle_gamma 90.00
loop_
_atom_site_label
_atom_site_type_symbol
_atom_site_fract_x
_atom_site_fract_y
_atom_site_fract_z
_atom_site_occupancy
Ca1 Ca 0.0000 0.0000 0.0000 1
Ca2 Ca 0.0000 0.0000 0.1999 1
Ca3 Ca 0.0000 0.0000 0.3966 1
Ca4 Ca 0.0000 0.0000 0.6034 1
Ca5 Ca 0.0000 0.0000 0.8001 1
Mg1 Mg 0.5000 0.5000 0.5000 1
Tl1 Tl 0.5000 0.5000 0.0998 1
Tl2 Tl 0.5000 0.5000 0.2999 1
Tl3 Tl 0.5000 0.5000 0.7001 1
Tl4 Tl 0.5000 0.5000 0.9002 1
```



(5)
This entry pairs a crystal structure of CaMg2Tl8 with its theoretical powder diffraction line list. Radiation: Cu Kα (weighted mean of Kα1 and Kα2). Structure: a cell relaxed with PBE.
Peak positions follow from Bragg's law for the DFT cell and can differ from measured ones.

Principal peaks in the range 2θ = 10–90°, in order of rising 2θ:
32.06 deg, rel. 100
32.18 deg, rel. 97
36.19 deg, rel. 38
37.66 deg, rel. 33
37.90 deg, rel. 30
53.22 deg, rel. 41

Atomic structure:
```
data_CaMg2Tl8
_space_group_name_H-M_alt 'P 1'
_space_group_IT_number 1
_space_group_name_Hall 'P 1'
_cell_length_a 9.0257
_cell_length_b 9.0257
_cell_length_c 7.8032
_cell_angle_alpha 106.75
_cell_angle_beta 106.75
_cell_angle_gamma 30.69
loop_
_atom_site_label
_atom_site_type_symbol
_atom_site_fract_x
_atom_site_fract_y
_atom_site_fract_z
_atom_site_occupancy
Ca1 Ca 0.0000 0.0000 0.0000 1
Mg1 Mg 0.2703 0.2703 0.3592 1
Mg2 Mg 0.7297 0.7297 0.6408 1
Tl1 Tl 0.0995 0.0995 0.4689 1
Tl2 Tl 0.1841 0.1841 0.9173 1
Tl3 Tl 0.3555 0.3555 0.7975 1
Tl4 Tl 0.4498 0.4498 0.2714 1
Tl5 Tl 0.5502 0.5502 0.7286 1
Tl6 Tl 0.6445 0.6445 0.2025 1
Tl7 Tl 0.8159 0.8159 0.0827 1
Tl8 Tl 0.9005 0.9005 0.5311 1
```



(6)
This entry pairs a crystal structure of Ca2MgTl3 with its theoretical powder diffraction line list. Radiation: Cu Kα (weighted mean of Kα1 and Kα2). Structure: a cell relaxed with PBE.
Peak positions follow from Bragg's law for the DFT cell and can differ from measured ones.

Principal peaks in the range 2θ = 10–90°, in order of rising 2θ:
19.85 deg, rel. 48
24.16 deg, rel. 59
31.46 deg, rel. 100
34.78 deg, rel. 80
42.79 deg, rel. 53
61.86 deg, rel. 45

Atomic structure:
```
data_Ca2MgTl3
_space_group_name_H-M_alt 'P 1'
_space_group_IT_number 1
_space_group_name_Hall 'P 1'
_cell_length_a 10.3178
_cell_length_b 9.6548
_cell_length_c 6.3554
_cell_angle_alpha 77.22
_cell_angle_beta 65.86
_cell_angle_gamma 36.92
loop_
_atom_site_label
_atom_site_type_symbol
_atom_site_fract_x
_atom_site_fract_y
_atom_site_fract_z
_atom_site_occupancy
Ca1 Ca 0.2436 0.7564 0.7564 1
Ca2 Ca 0.2500 0.2500 0.2500 1
Ca3 Ca 0.7500 0.7500 0.7500 1
Ca4 Ca 0.7564 0.2436 0.2436 1
Mg1 Mg 0.3327 0.3327 0.6673 1
Mg2 Mg 0.6673 0.6673 0.3327 1
Tl1 Tl 0.1708 0.1708 0.8292 1
Tl2 Tl 0.1723 0.6560 0.3440 1
Tl3 Tl 0.3440 0.8277 0.1723 1
Tl4 Tl 0.6560 0.1723 0.8277 1
Tl5 Tl 0.8277 0.3440 0.6560 1
Tl6 Tl 0.8292 0.8292 0.1708 1
```



(7)
This entry pairs a crystal structure of CaTm2Mg6 with its theoretical powder diffraction line list. Radiation: Cu Kα (weighted mean of Kα1 and Kα2). Structure: a cell relaxed with PBE.
Peak positions follow from Bragg's law for the DFT cell and can differ from measured ones.

Principal peaks in the range 2θ = 10–90°, in order of rising 2θ:
11.28 deg, rel. 92
19.39 deg, rel. 100
19.69 deg, rel. 47
33.68 deg, rel. 86
34.28 deg, rel. 76
36.27 deg, rel. 61

Atomic structure:
```
data_CaTm2Mg6
_space_group_name_H-M_alt 'P 1'
_space_group_IT_number 1
_space_group_name_Hall 'P 1'
_cell_length_a 9.3118
_cell_length_b 9.3118
_cell_length_c 9.3118
_cell_angle_alpha 159.11
_cell_angle_beta 122.10
_cell_angle_gamma 62.25
loop_
_atom_site_label
_atom_site_type_symbol
_atom_site_fract_x
_atom_site_fract_y
_atom_site_fract_z
_atom_site_occupancy
Ca1 Ca 0.0000 0.0000 0.0000 1
Tm1 Tm 0.3491 0.8491 0.5000 1
Tm2 Tm 0.6509 0.1509 0.5000 1
Mg1 Mg 0.0059 0.3292 0.6767 1
Mg2 Mg 0.3323 0.5000 0.8323 1
Mg3 Mg 0.3475 0.6708 0.6767 1
Mg4 Mg 0.6525 0.3292 0.3233 1
Mg5 Mg 0.6677 0.5000 0.1677 1
Mg6 Mg 0.9941 0.6708 0.3233 1
```



(8)
This entry pairs a crystal structure of Ca5TmMg6 with its theoretical powder diffraction line list. Radiation: Cu Kα (weighted mean of Kα1 and Kα2). Structure: a cell relaxed with PBE.
Peak positions follow from Bragg's law for the DFT cell and can differ from measured ones.

Principal peaks in the range 2θ = 10–90°, in order of rising 2θ:
10.58 deg, rel. 36
12.57 deg, rel. 52
32.07 deg, rel. 100
32.27 deg, rel. 98
32.42 deg, rel. 97
57.20 deg, rel. 36

Atomic structure:
```
data_Ca5TmMg6
_space_group_name_H-M_alt 'P 1'
_space_group_IT_number 1
_space_group_name_Hall 'P 1'
_cell_length_a 9.6135
_cell_length_b 9.6135
_cell_length_c 5.5891
_cell_angle_alpha 106.44
_cell_angle_beta 106.44
_cell_angle_gamma 47.63
loop_
_atom_site_label
_atom_site_type_symbol
_atom_site_fract_x
_atom_site_fract_y
_atom_site_fract_z
_atom_site_occupancy
Ca1 Ca 0.0000 0.0000 0.0000 1
Ca2 Ca 0.1649 0.1649 0.6660 1
Ca3 Ca 0.3320 0.3320 0.3306 1
Ca4 Ca 0.6680 0.6680 0.6694 1
Ca5 Ca 0.8351 0.8351 0.3340 1
Tm1 Tm 0.5000 0.5000 0.0000 1
Mg1 Mg 0.0951 0.5790 0.8353 1
Mg2 Mg 0.2658 0.7342 0.5000 1
Mg3 Mg 0.4210 0.9049 0.1647 1
Mg4 Mg 0.5790 0.0951 0.8353 1
Mg5 Mg 0.7342 0.2658 0.5000 1
Mg6 Mg 0.9049 0.4210 0.1647 1
```



(9)
This entry pairs a crystal structure of CaMg14V with its theoretical powder diffraction line list. Radiation: Cu Kα (weighted mean of Kα1 and Kα2). Structure: a cell relaxed with PBE.
Peak positions follow from Bragg's law for the DFT cell and can differ from measured ones.

Principal peaks in the range 2θ = 10–90°, in order of rising 2θ:
32.05 deg, rel. 25
34.53 deg, rel. 25
36.53 deg, rel. 100
57.12 deg, rel. 17
63.17 deg, rel. 17
68.49 deg, rel. 18

Atomic structure:
```
data_CaMg14V
_space_group_name_H-M_alt 'P 1'
_space_group_IT_number 1
_space_group_name_Hall 'P 1'
_cell_length_a 6.4498
_cell_length_b 6.4498
_cell_length_c 10.3910
_cell_angle_alpha 90.00
_cell_angle_beta 90.00
_cell_angle_gamma 120.00
loop_
_atom_site_label
_atom_site_type_symbol
_atom_site_fract_x
_atom_site_fract_y
_atom_site_fract_z
_atom_site_occupancy
Ca1 Ca 0.0000 0.0000 0.0000 1
Mg1 Mg 0.0097 0.5049 0.0000 1
Mg2 Mg 0.1656 0.3313 0.2640 1
Mg3 Mg 0.1656 0.3313 0.7360 1
Mg4 Mg 0.1656 0.8344 0.2640 1
Mg5 Mg 0.1656 0.8344 0.7360 1
Mg6 Mg 0.4951 0.5049 0.0000 1
Mg7 Mg 0.4951 0.9903 0.0000 1
Mg8 Mg 0.5024 0.0047 0.5000 1
Mg9 Mg 0.5024 0.4976 0.5000 1
Mg10 Mg 0.6667 0.3333 0.2414 1
Mg11 Mg 0.6667 0.3333 0.7586 1
Mg12 Mg 0.6687 0.8344 0.2640 1
Mg13 Mg 0.6687 0.8344 0.7360 1
Mg14 Mg 0.9953 0.4976 0.5000 1
V1 V 0.0000 0.0000 0.5000 1
```



(10)
This entry pairs a crystal structure of Ca5YMg6 with its theoretical powder diffraction line list. Radiation: Cu Kα (weighted mean of Kα1 and Kα2). Structure: a cell relaxed with PBE.
Peak positions follow from Bragg's law for the DFT cell and can differ from measured ones.

Principal peaks in the range 2θ = 10–90°, in order of rising 2θ:
31.97 deg, rel. 100
32.22 deg, rel. 97
32.34 deg, rel. 96
57.05 deg, rel. 34
57.29 deg, rel. 34
57.76 deg, rel. 32

Atomic structure:
```
data_Ca5YMg6
_space_group_name_H-M_alt 'P 1'
_space_group_IT_number 1
_space_group_name_Hall 'P 1'
_cell_length_a 9.6445
_cell_length_b 9.6445
_cell_length_c 5.6033
_cell_angle_alpha 106.49
_cell_angle_beta 106.49
_cell_angle_gamma 47.52
loop_
_atom_site_label
_atom_site_type_symbol
_atom_site_fract_x
_atom_site_fract_y
_atom_site_fract_z
_atom_site_occupancy
Ca1 Ca 0.0000 0.0000 0.0000 1
Ca2 Ca 0.1650 0.1650 0.6653 1
Ca3 Ca 0.3322 0.3322 0.3317 1
Ca4 Ca 0.6678 0.6678 0.6683 1
Ca5 Ca 0.8350 0.8350 0.3347 1
Y1 Y 0.5000 0.5000 0.0000 1
Mg1 Mg 0.0935 0.5790 0.8359 1
Mg2 Mg 0.2634 0.7366 0.5000 1
Mg3 Mg 0.4210 0.9065 0.1641 1
Mg4 Mg 0.5790 0.0935 0.8359 1
Mg5 Mg 0.7366 0.2634 0.5000 1
Mg6 Mg 0.9065 0.4210 0.1641 1
```



(11)
This entry pairs a crystal structure of CaY2Mg6 with its theoretical powder diffraction line list. Radiation: Cu Kα (weighted mean of Kα1 and Kα2). Structure: a cell relaxed with PBE.
Peak positions follow from Bragg's law for the DFT cell and can differ from measured ones.

Principal peaks in the range 2θ = 10–90°, in order of rising 2θ:
19.58 deg, rel. 44
32.75 deg, rel. 100
34.26 deg, rel. 70
48.13 deg, rel. 33
60.40 deg, rel. 32
65.05 deg, rel. 20

Atomic structure:
```
data_CaY2Mg6
_space_group_name_H-M_alt 'P 1'
_space_group_IT_number 1
_space_group_name_Hall 'P 1'
_cell_length_a 9.0658
_cell_length_b 9.0658
_cell_length_c 3.4281
_cell_angle_alpha 90.00
_cell_angle_beta 90.00
_cell_angle_gamma 120.00
loop_
_atom_site_label
_atom_site_type_symbol
_atom_site_fract_x
_atom_site_fract_y
_atom_site_fract_z
_atom_site_occupancy
Ca1 Ca 0.0000 0.0000 0.0000 1
Y1 Y 0.3333 0.6667 0.0000 1
Y2 Y 0.6667 0.3333 0.0000 1
Mg1 Mg 0.0000 0.3374 0.5000 1
Mg2 Mg 0.0000 0.6626 0.5000 1
Mg3 Mg 0.3374 0.0000 0.5000 1
Mg4 Mg 0.3374 0.3374 0.5000 1
Mg5 Mg 0.6626 0.0000 0.5000 1
Mg6 Mg 0.6626 0.6626 0.5000 1
```



(12)
This entry pairs a crystal structure of Ca3Mg5Zn10 with its theoretical powder diffraction line list. Radiation: Cu Kα (weighted mean of Kα1 and Kα2). Structure: a cell relaxed with PBE.
Peak positions follow from Bragg's law for the DFT cell and can differ from measured ones.

Principal peaks in the range 2θ = 10–90°, in order of rising 2θ:
11.04 deg, rel. 100
14.44 deg, rel. 61
35.02 deg, rel. 61
35.14 deg, rel. 68
36.05 deg, rel. 57
39.02 deg, rel. 79

Atomic structure:
```
data_Ca3Mg5Zn10
_space_group_name_H-M_alt 'P 1'
_space_group_IT_number 1
_space_group_name_Hall 'P 1'
_cell_length_a 9.2341
_cell_length_b 9.2341
_cell_length_c 9.5475
_cell_angle_alpha 90.01
_cell_angle_beta 90.01
_cell_angle_gamma 119.74
loop_
_atom_site_label
_atom_site_type_symbol
_atom_site_fract_x
_atom_site_fract_y
_atom_site_fract_z
_atom_site_occupancy
Ca1 Ca 0.1013 0.5081 0.5028 1
Ca2 Ca 0.1011 0.8989 0.5000 1
Ca3 Ca 0.5081 0.1013 0.0028 1
Ca4 Ca 0.5118 0.7177 0.0001 1
Ca5 Ca 0.7177 0.5118 0.5001 1
Ca6 Ca 0.8989 0.1011 0.0000 1
Mg1 Mg 0.0197 0.1582 0.3372 1
Mg2 Mg 0.1461 0.4711 0.1546 1
Mg3 Mg 0.1582 0.0197 0.8372 1
Mg4 Mg 0.1616 0.4397 0.8327 1
Mg5 Mg 0.4397 0.1616 0.3327 1
Mg6 Mg 0.4572 0.6070 0.3387 1
Mg7 Mg 0.4711 0.1461 0.6546 1
Mg8 Mg 0.4742 0.6367 0.6550 1
Mg9 Mg 0.6070 0.4572 0.8387 1
Mg10 Mg 0.6367 0.4742 0.1550 1
Zn1 Zn 0.1436 0.9840 0.1530 1
Zn2 Zn 0.1723 0.7437 0.9943 1
Zn3 Zn 0.2985 0.3054 0.5540 1
Zn4 Zn 0.3054 0.2985 0.0540 1
Zn5 Zn 0.3069 0.8075 0.7468 1
Zn6 Zn 0.3072 0.8131 0.2451 1
Zn7 Zn 0.4442 0.8787 0.4921 1
Zn8 Zn 0.6414 0.9757 0.2570 1
Zn9 Zn 0.6454 0.9778 0.7422 1
Zn10 Zn 0.7437 0.1723 0.4943 1
Zn11 Zn 0.7447 0.8810 0.4942 1
Zn12 Zn 0.8075 0.3069 0.2468 1
Zn13 Zn 0.8131 0.3072 0.7451 1
Zn14 Zn 0.8128 0.8138 0.7462 1
Zn15 Zn 0.8138 0.8128 0.2462 1
Zn16 Zn 0.8787 0.4442 0.9921 1
Zn17 Zn 0.8810 0.7447 0.9942 1
Zn18 Zn 0.9757 0.6414 0.7570 1
Zn19 Zn 0.9778 0.6454 0.2422 1
Zn20 Zn 0.9840 0.1436 0.6530 1
```